[1]
This entry pairs a crystal structure of H6S3F with its theoretical powder diffractogram. Radiation: CuKα. Structure: DFT lattice parameters and positions (PBE).

Principal peaks in the range 2θ = 10–90°, in order of falling intensity:
27.11 deg, I 100
24.04 deg, I 37
29.62 deg, I 36
25.15 deg, I 33
35.41 deg, I 18
30.73 deg, I 18
20.59 deg, I 15
32.93 deg, I 14
13.58 deg, I 14
41.53 deg, I 14
32.24 deg, I 12
15.96 deg, I 12

```
10
Lattice="4.4625 0.0000 0.0000 0.8986 5.8375 0.0000 1.7382 2.1152 6.5224" Properties=species:S:1:pos:R:3 pbc="T T T"
H 0.0000 0.0000 0.0000
H 0.8823 1.6359 2.2945
H 2.1653 5.8293 3.3521
H 4.8384 5.3296 5.5334
H 4.9150 3.9610 4.1128
H 4.9013 3.9323 1.5806
S 1.6755 4.8192 0.4448
S 2.7794 6.5484 2.3523
S 5.7480 4.4331 5.0733
F 4.3068 3.3791 2.1861
```


[2]
This entry pairs a crystal structure of Sb2HF8 with its theoretical powder diffractogram. Radiation: CuKα. Structure: DFT lattice parameters and positions (PBE).

Principal peaks in the range 2θ = 10–90°, in order of falling intensity:
17.81 deg, I 100
19.57 deg, I 61
36.59 deg, I 59
25.07 deg, I 53
26.94 deg, I 44
23.72 deg, I 31
26.21 deg, I 24
30.92 deg, I 23
52.06 deg, I 22
48.44 deg, I 22
41.85 deg, I 21
44.36 deg, I 21

```
11
Lattice="4.5383 -3.5514 0.0000 4.5383 3.5514 0.0000 -0.1360 0.0000 4.9809" Properties=species:S:1:pos:R:3 pbc="T T T"
Sb 1.9510 0.0000 0.3227
Sb 6.9897 0.0000 4.6582
H 4.4703 0.0000 2.4904
F 0.5183 0.0000 3.7876
F 2.9826 1.3168 4.2432
F 3.5413 0.0000 1.8195
F 5.9580 1.3168 0.7377
F 2.9826 -1.3168 4.2432
F 5.3993 0.0000 3.1614
F 5.9580 -1.3168 0.7377
F 8.4224 0.0000 1.1933
```


[3]
This entry pairs a crystal structure of SbHF5 with its theoretical powder diffractogram. Radiation: CuKα. Structure: DFT lattice parameters and positions (PBE).

Principal peaks in the range 2θ = 10–90°, in order of falling intensity:
16.25 deg, I 100
20.09 deg, I 46
19.20 deg, I 21
27.14 deg, I 19
18.77 deg, I 17
33.01 deg, I 17
29.44 deg, I 16
28.52 deg, I 12
28.21 deg, I 12
41.28 deg, I 12
40.84 deg, I 12
28.80 deg, I 9

```
14
Lattice="5.7969 0.0000 0.0000 1.6761 5.5791 0.0000 1.6699 1.4595 6.5716" Properties=species:S:1:pos:R:3 pbc="T T T"
Sb 0.0000 0.0000 0.0000
Sb 3.2873 5.2599 3.3687
H 3.7844 2.7987 4.6715
H 6.8105 4.6911 6.5130
F 0.7132 0.9197 2.0723
F 3.1166 4.1851 1.7550
F 4.0559 5.0942 5.1931
F 3.3634 2.3137 5.8998
F 4.0316 3.1484 3.7509
F 4.9853 5.8669 2.8106
F 5.2999 4.1992 0.0075
F 6.5486 3.2232 6.4614
F 7.4374 4.5728 3.9827
F 6.9870 1.4308 4.4078
```


[4]
This entry pairs a crystal structure of SbH7F12 with its theoretical powder diffractogram. Radiation: CuKα. Structure: DFT lattice parameters and positions (PBE).

Principal peaks in the range 2θ = 10–90°, in order of falling intensity:
15.28 deg, I 100
24.81 deg, I 84
12.68 deg, I 82
21.83 deg, I 60
37.71 deg, I 56
23.67 deg, I 45
28.00 deg, I 39
25.80 deg, I 37
18.26 deg, I 34
45.79 deg, I 26
17.58 deg, I 24
38.24 deg, I 22

```
20
Lattice="7.3392 -3.1862 0.0000 7.3392 3.1862 0.0000 -1.6304 0.0000 5.0439" Properties=species:S:1:pos:R:3 pbc="T T T"
Sb 0.0000 0.0000 0.0000
H 1.3837 -0.0265 4.1262
H 3.0369 -0.0324 3.0350
H 4.7188 -0.0118 1.9644
H 6.5239 -0.0018 2.5219
H 8.3291 -0.0118 3.0795
H 10.0110 -0.0324 2.0088
H 11.6641 -0.0265 0.9177
F -0.0154 0.0010 3.9263
F 4.9431 1.8458 3.9302
F 2.3794 -0.0453 4.2101
F 3.4623 -0.0213 2.1014
F 8.1047 1.8458 1.1136
F 5.7439 -0.0009 1.6741
F 7.3040 -0.0009 3.3697
F 4.9460 -1.8452 3.9291
F 9.5856 -0.0213 2.9425
F 10.6685 -0.0453 0.8338
F 8.1019 -1.8452 1.1148
F 13.0633 0.0010 1.1176
```


[5]
This entry pairs a crystal structure of Sb2HF13 with its theoretical powder diffractogram. Radiation: CuKα. Structure: DFT lattice parameters and positions (PBE).

Principal peaks in the range 2θ = 10–90°, in order of falling intensity:
20.71 deg, I 100
15.64 deg, I 84
22.25 deg, I 70
23.03 deg, I 64
21.90 deg, I 62
18.85 deg, I 46
38.61 deg, I 39
14.75 deg, I 36
26.06 deg, I 32
24.76 deg, I 30
44.45 deg, I 27
45.45 deg, I 26

```
16
Lattice="5.6307 0.0000 0.0000 -0.2514 6.4629 0.0000 -1.0452 -2.7132 6.8374" Properties=species:S:1:pos:R:3 pbc="T T T"
Sb 0.5972 0.3241 1.9518
Sb 3.7369 3.4256 4.8856
H 2.6896 3.2315 0.0000
F 0.0000 0.0000 0.0000
F -0.1988 2.0252 1.7795
F -0.2561 4.2089 4.3750
F 1.2522 5.1452 1.7196
F 0.7075 -0.1416 6.6468
F 1.3409 0.6445 3.6487
F 2.2373 1.0828 1.0435
F 2.0969 2.6669 5.7939
F 2.9932 3.1052 3.1886
F 3.6267 3.8913 0.1906
F 3.0820 -1.3955 5.1178
F 4.5902 -0.4592 2.4624
F 4.5329 1.7245 5.0578
```


[6]
This entry pairs a crystal structure of SbH3F6 with its theoretical powder diffractogram. Radiation: CuKα. Structure: DFT lattice parameters and positions (PBE).

Principal peaks in the range 2θ = 10–90°, in order of falling intensity:
19.25 deg, I 100
23.19 deg, I 40
18.45 deg, I 37
19.52 deg, I 34
29.98 deg, I 28
38.51 deg, I 22
34.46 deg, I 14
51.07 deg, I 12
47.77 deg, I 10
37.68 deg, I 9
39.07 deg, I 8
57.73 deg, I 8

```
10
Lattice="5.2065 -2.6757 0.0000 5.2065 2.6757 0.0000 -2.6816 0.0000 4.8086" Properties=species:S:1:pos:R:3 pbc="T T T"
Sb 0.0000 0.0000 0.0000
H 3.1891 0.0000 2.9432
H 3.8657 0.0000 2.4043
H 4.5422 0.0000 1.8653
F 2.3777 1.3054 3.4419
F -0.7994 0.0000 4.6228
F 5.3537 1.3054 1.3667
F 2.3777 -1.3054 3.4419
F 8.5308 0.0000 0.1857
F 5.3537 -1.3054 1.3667
```


[7]
This entry pairs a crystal structure of SbHF with its theoretical powder diffractogram. Radiation: CuKα. Structure: DFT lattice parameters and positions (PBE).

Principal peaks in the range 2θ = 10–90°, in order of falling intensity:
29.76 deg, I 100
22.94 deg, I 73
22.25 deg, I 56
11.41 deg, I 34
24.51 deg, I 23
40.37 deg, I 23
34.72 deg, I 19
32.57 deg, I 18
34.25 deg, I 16
50.54 deg, I 16
34.51 deg, I 15
45.40 deg, I 14

```
6
Lattice="3.2557 0.0000 0.0000 -0.0317 4.3881 0.0000 -0.0291 -0.8657 7.7522" Properties=species:S:1:pos:R:3 pbc="T T T"
Sb 0.7842 0.6186 1.5680
Sb 2.4107 2.9038 6.1842
H 0.7828 0.6145 3.3026
H 2.4120 2.9079 4.4496
F 0.7584 2.8331 1.7903
F 2.4364 0.6893 5.9619
```


[8]
This entry pairs a crystal structure of TcSbHSeF with its theoretical powder diffractogram. Radiation: CuKα. Structure: DFT lattice parameters and positions (PBE).

Principal peaks in the range 2θ = 10–90°, in order of falling intensity:
34.49 deg, I 100
13.39 deg, I 90
21.85 deg, I 75
31.28 deg, I 68
26.98 deg, I 63
43.33 deg, I 47
45.61 deg, I 39
44.22 deg, I 38
42.81 deg, I 35
45.68 deg, I 30
22.33 deg, I 28
52.30 deg, I 26

```
5
Lattice="3.2203 0.0000 0.0000 1.6032 4.2274 0.0000 0.0004 2.3599 6.6102" Properties=species:S:1:pos:R:3 pbc="T T T"
Tc 0.0000 0.0000 0.0000
Sb 3.2129 4.3211 2.1920
H 1.5998 3.0271 1.1354
Se 1.6113 4.1138 5.8901
F 1.6236 2.0532 2.8369
```


[9]
This entry pairs a crystal structure of TcSbHSeF with its theoretical powder diffractogram. Radiation: CuKα. Structure: DFT lattice parameters and positions (PBE).

Principal peaks in the range 2θ = 10–90°, in order of falling intensity:
12.61 deg, I 100
31.77 deg, I 54
44.03 deg, I 28
35.61 deg, I 25
38.55 deg, I 20
26.79 deg, I 19
38.64 deg, I 17
46.80 deg, I 13
46.60 deg, I 13
43.19 deg, I 12
32.58 deg, I 11
24.86 deg, I 8

```
5
Lattice="3.2817 0.0000 0.0000 1.6393 3.9729 0.0000 0.0161 0.6044 7.0200" Properties=species:S:1:pos:R:3 pbc="T T T"
Tc 0.0000 0.0000 0.0000
Sb 1.6409 1.6541 1.3946
H 3.3012 0.8040 5.4070
Se 3.2975 3.0167 5.8439
F 1.6482 1.2898 3.3425
```


[10]
This entry pairs a crystal structure of TcSbHSeF with its theoretical powder diffractogram. Radiation: CuKα. Structure: DFT lattice parameters and positions (PBE).

Principal peaks in the range 2θ = 10–90°, in order of falling intensity:
14.99 deg, I 100
33.60 deg, I 56
38.79 deg, I 40
42.63 deg, I 26
38.91 deg, I 19
35.08 deg, I 18
56.03 deg, I 16
32.21 deg, I 14
66.17 deg, I 13
41.10 deg, I 13
44.36 deg, I 12
27.16 deg, I 12

```
5
Lattice="4.6957 0.0000 0.0000 0.0000 3.2818 0.0000 -1.3433 0.0000 5.9104" Properties=species:S:1:pos:R:3 pbc="T T T"
Tc 0.0000 0.0000 0.0000
Sb 1.1213 1.6409 5.5027
H 3.6882 0.0000 1.2871
Se 0.8917 1.6409 1.6843
F 3.0827 0.0000 3.9280
```


[11]
This entry pairs a crystal structure of SiSbTeHF with its theoretical powder diffractogram. Radiation: CuKα. Structure: DFT lattice parameters and positions (PBE).

Principal peaks in the range 2θ = 10–90°, in order of falling intensity:
13.18 deg, I 100
30.94 deg, I 51
30.10 deg, I 38
34.92 deg, I 29
26.54 deg, I 21
37.09 deg, I 20
50.17 deg, I 16
23.45 deg, I 15
37.51 deg, I 14
43.78 deg, I 13
36.42 deg, I 13
41.21 deg, I 11

```
5
Lattice="6.7536 -1.8908 0.0000 6.7536 1.8908 0.0000 -0.5132 0.0000 4.9345" Properties=species:S:1:pos:R:3 pbc="T T T"
Si 0.0000 0.0000 0.0000
Sb 4.4118 0.0000 4.4630
Te 10.7313 0.0000 1.6862
H 0.5799 0.0000 1.3767
F 0.7822 0.0000 3.9319
```


[12]
This entry pairs a crystal structure of HSeF with its theoretical powder diffractogram. Radiation: CuKα. Structure: DFT lattice parameters and positions (PBE).

Principal peaks in the range 2θ = 10–90°, in order of falling intensity:
16.65 deg, I 100
16.28 deg, I 89
31.20 deg, I 45
11.28 deg, I 39
36.05 deg, I 30
37.12 deg, I 26
32.03 deg, I 25
33.69 deg, I 22
34.29 deg, I 21
33.22 deg, I 18
33.02 deg, I 17
23.42 deg, I 15

```
6
Lattice="2.7223 0.0000 0.0000 0.2175 5.7364 0.0000 1.1308 2.5948 7.8450" Properties=species:S:1:pos:R:3 pbc="T T T"
H 0.9002 2.6326 3.0811
H 3.1705 5.6986 4.7639
Se 1.5766 5.5977 1.1432
Se 2.4940 2.7334 6.7018
F 1.3563 5.6121 4.4847
F 2.7143 2.7190 3.3603
```